For Tl2Ga2Cl7, the GGA-PBE geometry in Alexandria gives the calculated XRD peak list in this record (Cu Kα (weighted mean of Kα1 and Kα2)).

```
Tl2Ga2Cl7
1.0
6.476 0.000 0.000
0.000 15.789 0.000
-0.992 0.000 7.948
Tl Ga Cl
4 4 14
Cartesian
0.368 2.343 3.209
-0.128 5.552 7.183
5.612 10.238 0.764
5.116 13.447 4.738
1.641 9.662 5.191
2.137 14.022 1.218
3.347 1.767 6.730
3.843 6.128 2.756
0.169 10.753 3.850
-0.327 12.931 7.824
0.513 8.801 6.974
1.009 14.883 3.000
1.871 3.279 5.891
2.367 4.615 1.917
3.238 0.000 0.000
2.742 7.895 3.974
3.117 11.174 6.030
3.613 12.510 2.056
4.475 0.906 4.947
4.971 6.988 0.973
5.811 2.859 0.123
5.315 5.036 4.097
```

Most intense lines, 2θ from 15° to 90°, low angle first:
2θ 19.6, intensity 60
2θ 20.1, intensity 100
2θ 22.5, intensity 21
2θ 23.1, intensity 29
2θ 28.1, intensity 23
2θ 40.0, intensity 23


For Na5B7C3, the GGA-PBE geometry in Alexandria gives the calculated XRD peak list in this record (Cu Kα (weighted mean of Kα1 and Kα2)).

```
Na5B7C3
1.0
1.422 -12.820 0.000
1.422 12.820 0.000
0.000 0.000 8.536
Na B C
10 14 6
Cartesian
0.000 0.000 0.000
0.000 0.000 4.268
1.422 7.697 4.282
1.422 7.697 8.522
1.422 2.550 4.288
1.422 2.550 8.516
1.422 -2.550 0.020
1.422 -2.550 4.248
1.422 -7.697 0.014
1.422 -7.697 4.254
1.422 11.245 2.134
1.422 9.574 6.402
1.422 9.460 2.134
1.422 6.042 2.134
1.422 4.363 6.402
1.422 4.265 2.134
1.422 0.850 2.134
1.422 -0.850 6.402
1.422 -4.265 6.402
1.422 -4.363 2.134
1.422 -6.042 6.402
1.422 -9.460 6.402
1.422 -9.574 2.134
1.422 -11.245 6.402
1.422 11.174 6.402
1.422 5.980 6.402
1.422 0.786 6.402
1.422 -0.786 2.134
1.422 -5.980 2.134
1.422 -11.174 2.134
```

Most intense lines, 2θ from 15° to 90°, low angle first:
2θ 36.1, intensity 18
2θ 41.1, intensity 51
2θ 42.0, intensity 100
2θ 42.4, intensity 38
2θ 63.5, intensity 18
2θ 79.3, intensity 17


For La2Hg, the GGA-PBE geometry in Alexandria gives the calculated XRD peak list in this record (Cu Kα (weighted mean of Kα1 and Kα2)).

```
La2Hg
1.0
-3.901 3.901 3.213
3.901 -3.901 3.213
3.901 3.901 -3.213
La Hg
4 2
Cartesian
5.126 1.225 0.000
1.225 2.676 0.000
2.676 1.225 3.213
-1.225 2.676 3.213
0.000 0.000 1.606
0.000 0.000 4.819
```

Most intense lines, 2θ from 15° to 90°, low angle first:
2θ 16.1, intensity 30
2θ 29.1, intensity 100
2θ 32.2, intensity 70
2θ 36.2, intensity 60
2θ 36.4, intensity 76
2θ 57.8, intensity 36


For LaPmGa4, the GGA-PBE geometry in Alexandria gives the calculated XRD peak list in this record (Cu Kα (weighted mean of Kα1 and Kα2)).

```
LaPmGa4
1.0
-2.156 2.156 7.485
2.156 -2.156 7.485
2.156 2.156 -7.485
La Pm Ga
1 1 4
Cartesian
0.000 0.000 0.000
2.156 0.000 3.742
0.000 0.000 6.224
0.000 0.000 8.746
0.000 2.156 2.511
0.000 2.156 4.973
```

Most intense lines, 2θ from 15° to 90°, low angle first:
2θ 27.3, intensity 32
2θ 31.7, intensity 100
2θ 36.5, intensity 53
2θ 41.9, intensity 42
2θ 47.5, intensity 25
2θ 56.8, intensity 29


For La5SmBi4, the GGA-PBE geometry in Alexandria gives the calculated XRD peak list in this record (Cu Kα (weighted mean of Kα1 and Kα2)).

```
La5SmBi4
1.0
9.942 -2.280 0.000
9.942 2.280 0.000
-2.315 0.000 8.738
La Sm Bi
5 1 4
Cartesian
0.000 0.000 0.000
6.121 0.000 1.342
5.112 0.000 5.906
12.457 0.000 2.832
11.448 0.000 7.397
-1.158 0.000 4.369
1.972 0.000 5.113
9.243 0.000 2.179
8.326 0.000 6.560
15.596 0.000 3.625
```

Most intense lines, 2θ from 15° to 90°, low angle first:
2θ 27.8, intensity 100
2θ 39.3, intensity 27
2θ 39.5, intensity 13
2θ 39.9, intensity 13
2θ 40.2, intensity 26
2θ 49.0, intensity 14


For Ca4Cu5P6, the GGA-PBE geometry in Alexandria gives the calculated XRD peak list in this record (Cu Kα (weighted mean of Kα1 and Kα2)).

```
Ca4Cu5P6
1.0
2.008 -8.833 0.000
2.008 8.833 0.000
0.000 0.000 15.199
Ca Cu P
8 10 12
Cartesian
2.008 8.512 9.440
2.008 8.512 13.358
2.008 5.719 1.055
2.008 5.719 6.544
2.008 -5.719 8.654
2.008 -5.719 14.144
2.008 -8.512 1.840
2.008 -8.512 5.759
2.008 6.244 11.399
2.008 3.597 11.399
2.008 2.601 1.725
2.008 2.601 5.874
2.008 1.049 11.399
2.008 -1.049 3.800
2.008 -2.601 9.325
2.008 -2.601 13.473
2.008 -3.597 3.800
2.008 -6.244 3.800
2.008 6.697 3.800
2.008 5.015 9.431
2.008 5.015 13.367
2.008 1.251 3.800
2.008 1.105 7.739
2.008 1.105 15.059
2.008 -1.105 0.140
2.008 -1.105 7.460
2.008 -1.251 11.399
2.008 -5.015 1.831
2.008 -5.015 5.768
2.008 -6.697 11.399
```

Most intense lines, 2θ from 15° to 90°, low angle first:
2θ 28.8, intensity 100
2θ 35.4, intensity 39
2θ 35.9, intensity 90
2θ 38.3, intensity 54
2θ 45.2, intensity 69
2θ 48.9, intensity 80


For YHo4Rh4, the GGA-PBE geometry in Alexandria gives the calculated XRD peak list in this record (Cu Kα (weighted mean of Kα1 and Kα2)).

```
YHo4Rh4
1.0
8.782 0.000 0.000
0.000 8.782 0.000
0.000 0.000 5.600
Y Ho Rh
2 8 8
Cartesian
2.195 2.195 1.400
6.586 6.586 4.200
0.620 5.809 0.882
1.418 8.162 3.682
2.972 5.011 3.682
3.771 7.363 0.882
5.011 1.418 4.718
5.809 3.771 1.918
7.363 0.620 1.918
8.162 2.972 4.718
0.257 5.485 3.670
1.094 8.525 0.870
3.297 4.648 0.870
4.134 7.688 3.670
4.648 1.094 1.930
5.485 4.134 4.730
7.688 0.257 4.730
8.525 3.297 1.930
```

Most intense lines, 2θ from 15° to 90°, low angle first:
2θ 32.2, intensity 100
2θ 33.6, intensity 46
2θ 39.5, intensity 24
2θ 44.8, intensity 21
2θ 46.2, intensity 33
2θ 49.6, intensity 26


For K2SnSb3Au4, the GGA-PBE geometry in Alexandria gives the calculated XRD peak list in this record (Cu Kα (weighted mean of Kα1 and Kα2)).

```
K2SnSb3Au4
1.0
4.857 0.000 0.000
0.000 4.857 0.000
0.000 0.000 11.394
K Sn Sb Au
2 1 3 4
Cartesian
0.000 2.428 2.737
2.428 0.000 8.657
0.000 0.000 5.697
0.000 2.428 9.945
2.428 0.000 1.449
2.428 2.428 5.697
0.000 0.000 0.000
0.000 2.428 7.209
2.428 0.000 4.185
2.428 2.428 0.000
```

Most intense lines, 2θ from 15° to 90°, low angle first:
2θ 15.6, intensity 49
2θ 19.9, intensity 64
2θ 30.4, intensity 93
2θ 37.0, intensity 87
2θ 41.2, intensity 100
2θ 69.5, intensity 44


For LaCeCoI, the GGA-PBE geometry in Alexandria gives the calculated XRD peak list in this record (Cu Kα (weighted mean of Kα1 and Kα2)).

```
LaCeCoI
1.0
3.421 -2.124 0.000
3.421 2.124 0.000
-2.709 0.000 8.041
La Ce Co I
1 1 1 1
Cartesian
0.000 0.000 0.000
4.146 0.000 2.885
2.231 0.000 1.680
-0.362 0.000 5.431
```

Most intense lines, 2θ from 15° to 90°, low angle first:
2θ 29.2, intensity 55
2θ 30.5, intensity 100
2θ 32.9, intensity 33
2θ 33.4, intensity 26
2θ 42.6, intensity 24
2θ 45.2, intensity 37


For Na5Tl4Bi, the GGA-PBE geometry in Alexandria gives the calculated XRD peak list in this record (Cu Kα (weighted mean of Kα1 and Kα2)).

```
Na5Tl4Bi
1.0
2.682 1.549 12.309
-2.682 1.549 12.309
0.000 -3.097 12.309
Na Tl Bi
5 4 1
Cartesian
0.000 0.000 0.000
0.000 0.000 3.669
0.000 0.000 7.316
0.000 0.000 18.094
0.000 0.000 33.256
0.000 0.000 10.724
0.000 0.000 14.069
0.000 0.000 26.805
0.000 0.000 29.927
0.000 0.000 21.517
```

Most intense lines, 2θ from 15° to 90°, low angle first:
2θ 19.3, intensity 29
2θ 19.7, intensity 44
2θ 21.4, intensity 33
2θ 30.9, intensity 38
2θ 33.4, intensity 100
2θ 40.2, intensity 35


For Dy7YHo3, the GGA-PBE geometry in Alexandria gives the calculated XRD peak list in this record (Cu Kα (weighted mean of Kα1 and Kα2)).

```
Dy7YHo3
1.0
6.970 0.000 0.000
0.000 5.509 0.000
-3.400 0.000 9.234
Dy Y Ho
7 1 3
Cartesian
0.000 0.000 0.000
0.040 2.755 2.686
0.058 2.755 5.925
0.100 0.000 7.670
3.470 0.000 1.564
3.512 2.755 3.309
3.530 2.755 6.548
-1.700 0.000 4.617
-1.446 2.755 9.216
1.785 0.000 4.617
5.016 2.755 0.018
```

Most intense lines, 2θ from 15° to 90°, low angle first:
2θ 31.8, intensity 78
2θ 32.0, intensity 100
2θ 32.3, intensity 17
2θ 32.5, intensity 56
2θ 33.3, intensity 56
2θ 57.7, intensity 16


For PmMg2Sn2Pd2, the GGA-PBE geometry in Alexandria gives the calculated XRD peak list in this record (Cu Kα (weighted mean of Kα1 and Kα2)).

```
PmMg2Sn2Pd2
1.0
2.304 1.330 8.450
-2.304 1.330 8.450
0.000 -2.660 8.450
Pm Mg Sn Pd
1 2 2 2
Cartesian
0.000 0.000 0.000
0.000 0.000 3.442
0.000 0.000 21.907
0.000 0.000 10.323
0.000 0.000 15.026
0.000 0.000 6.177
0.000 0.000 19.173
```

Most intense lines, 2θ from 15° to 90°, low angle first:
2θ 21.0, intensity 28
2θ 28.5, intensity 88
2θ 33.4, intensity 28
2θ 36.2, intensity 42
2θ 39.1, intensity 100
2θ 59.4, intensity 33